[1]
Structure and simulated powder diffractogram of Zr2Si2O5 (a GGA-PBE-relaxed structure; Cu Kα X-rays).
Kinematic intensities with the Lorentz-polarization factor, no thermal factor.

Most intense lines, 2θ from 5° to 70°, in order of rising 2θ:
- 2θ 22.8, rel. 49
- 2θ 32.5, rel. 61
- 2θ 38.0, rel. 100
- 2θ 44.8, rel. 61
- 2θ 46.6, rel. 59
- 2θ 52.5, rel. 11
- 2θ 61.7, rel. 48
- 2θ 62.3, rel. 9
- 2θ 67.3, rel. 10
- 2θ 68.1, rel. 17

Structure:
Cell: 3.8959 3.8959 5.9594 Å, 90.00 90.00 90.00°
Fractional coordinates of all 9 atoms:
Zr1 0.0000 0.0000 0.0000
Zr2 0.0000 0.0000 0.5000
Si1 0.5000 0.5000 0.2031
Si2 0.5000 0.5000 0.7969
O1 0.0000 0.5000 0.2430
O2 0.0000 0.5000 0.7570
O3 0.5000 0.0000 0.2430
O4 0.5000 0.0000 0.7570
O5 0.5000 0.5000 0.5000

---

[2]
Structure and simulated powder diffractogram of SiO2 (a GGA-PBE-relaxed structure; Cu Kα X-rays).
Kinematic intensities with the Lorentz-polarization factor, no thermal factor.

Most intense lines, 2θ from 5° to 70°, in order of rising 2θ:
- 2θ 22.4, rel. 47
- 2θ 24.7, rel. 30
- 2θ 26.4, rel. 69
- 2θ 26.8, rel. 100
- 2θ 31.8, rel. 26
- 2θ 32.9, rel. 14
- 2θ 36.5, rel. 10
- 2θ 36.8, rel. 10
- 2θ 44.0, rel. 11
- 2θ 50.1, rel. 12

Structure:
Cell: 8.7619 10.5868 4.9188 Å, 90.00 90.00 90.00°
Fractional coordinates of all 36 atoms:
Si1 0.0000 0.2179 0.2500
Si2 0.0000 0.7821 0.7500
Si3 0.2132 0.4158 0.5578
Si4 0.2132 0.5842 0.0578
Si5 0.2868 0.0842 0.0578
Si6 0.2868 0.9158 0.5578
Si7 0.5000 0.2821 0.7500
Si8 0.5000 0.7179 0.2500
Si9 0.7132 0.0842 0.4422
Si10 0.7132 0.9158 0.9422
Si11 0.7868 0.4158 0.9422
Si12 0.7868 0.5842 0.4422
O1 0.1044 0.3013 0.4570
O2 0.1044 0.6987 0.9570
O3 0.1093 0.1312 0.0550
O4 0.1093 0.8688 0.5550
O5 0.1794 0.4602 0.8698
O6 0.1794 0.5398 0.3698
O7 0.3206 0.0398 0.3698
O8 0.3206 0.9602 0.8698
O9 0.3907 0.3688 0.5550
O10 0.3907 0.6312 0.0550
O11 0.3956 0.1987 0.9570
O12 0.3956 0.8013 0.4570
O13 0.6044 0.1987 0.5430
O14 0.6044 0.8013 0.0430
O15 0.6093 0.3688 0.9450
O16 0.6093 0.6312 0.4450
O17 0.6794 0.0398 0.1302
O18 0.6794 0.9602 0.6302
O19 0.8206 0.4602 0.6302
O20 0.8206 0.5398 0.1302
O21 0.8907 0.1312 0.4450
O22 0.8907 0.8688 0.9450
O23 0.8956 0.3013 0.0430
O24 0.8956 0.6987 0.5430

---

[3]
Structure and simulated powder diffractogram of Tb2Si3Rh (a GGA-PBE-relaxed structure; Cu Kα X-rays).
Kinematic intensities with the Lorentz-polarization factor, no thermal factor.

Most intense lines, 2θ from 5° to 70°, in order of rising 2θ:
- 2θ 12.5, rel. 5
- 2θ 21.7, rel. 5
- 2θ 25.2, rel. 30
- 2θ 33.9, rel. 100
- 2θ 44.3, rel. 36
- 2θ 45.5, rel. 11
- 2θ 51.6, rel. 4
- 2θ 52.7, rel. 9
- 2θ 56.9, rel. 22
- 2θ 65.4, rel. 22

Structure:
Cell: 8.1746 8.1746 7.9769 Å, 90.00 90.00 120.00°
Fractional coordinates of all 24 atoms:
Tb1 0.0000 0.0000 0.2500
Tb2 0.0000 0.0000 0.7500
Tb3 0.0076 0.5038 0.2500
Tb4 0.4962 0.5038 0.2500
Tb5 0.4962 0.9924 0.2500
Tb6 0.5038 0.0076 0.7500
Tb7 0.5038 0.4962 0.7500
Tb8 0.9924 0.4962 0.7500
Si1 0.1662 0.3323 0.5006
Si2 0.1662 0.3323 0.9994
Si3 0.1662 0.8338 0.5006
Si4 0.1662 0.8338 0.9994
Si5 0.3323 0.1662 0.0006
Si6 0.3323 0.1662 0.4994
Si7 0.6677 0.8338 0.5006
Si8 0.6677 0.8338 0.9994
Si9 0.8338 0.1662 0.0006
Si10 0.8338 0.1662 0.4994
Si11 0.8338 0.6677 0.0006
Si12 0.8338 0.6677 0.4994
Rh1 0.3333 0.6667 0.5148
Rh2 0.3333 0.6667 0.9852
Rh3 0.6667 0.3333 0.0148
Rh4 0.6667 0.3333 0.4852

---

[4]
Structure and simulated powder diffractogram of EuZrSe3 (a GGA-PBE-relaxed structure; Cu Kα X-rays).
Kinematic intensities with the Lorentz-polarization factor, no thermal factor.

Most intense lines, 2θ from 5° to 70°, in order of rising 2θ:
- 2θ 20.9, rel. 32
- 2θ 30.8, rel. 100
- 2θ 30.8, rel. 29
- 2θ 31.9, rel. 28
- 2θ 32.5, rel. 71
- 2θ 32.6, rel. 91
- 2θ 35.0, rel. 19
- 2θ 38.5, rel. 44
- 2θ 45.7, rel. 56
- 2θ 57.2, rel. 28

Structure:
Cell: 8.9140 3.9719 14.4672 Å, 90.00 90.00 90.00°
Fractional coordinates of all 20 atoms:
Eu1 0.0627 0.2500 0.1778
Eu2 0.4373 0.7500 0.6778
Eu3 0.5627 0.2500 0.3222
Eu4 0.9373 0.7500 0.8222
Zr1 0.1702 0.7500 0.4434
Zr2 0.3298 0.2500 0.9434
Zr3 0.6702 0.7500 0.0566
Zr4 0.8298 0.2500 0.5566
Se1 0.0212 0.7500 0.6102
Se2 0.1569 0.7500 0.0147
Se3 0.2060 0.2500 0.7794
Se4 0.2940 0.7500 0.2794
Se5 0.3431 0.2500 0.5147
Se6 0.4788 0.2500 0.1102
Se7 0.5212 0.7500 0.8898
Se8 0.6569 0.7500 0.4853
Se9 0.7060 0.2500 0.7206
Se10 0.7940 0.7500 0.2206
Se11 0.8431 0.2500 0.9853
Se12 0.9788 0.2500 0.3898

---

[5]
Structure and simulated powder diffractogram of PrMnB4 (a GGA-PBE-relaxed structure; Cu Kα X-rays).
Kinematic intensities with the Lorentz-polarization factor, no thermal factor.

Most intense lines, 2θ from 5° to 70°, in order of rising 2θ:
- 2θ 21.2, rel. 23
- 2θ 25.2, rel. 68
- 2θ 27.3, rel. 36
- 2θ 30.6, rel. 83
- 2θ 33.1, rel. 22
- 2θ 37.4, rel. 41
- 2θ 40.0, rel. 100
- 2θ 42.9, rel. 26
- 2θ 45.9, rel. 23
- 2θ 61.2, rel. 23

Structure:
Cell: 6.0293 11.6746 3.5404 Å, 90.00 90.00 90.00°
Fractional coordinates of all 24 atoms:
Pr1 0.1235 0.1515 0.0000
Pr2 0.3765 0.6515 0.0000
Pr3 0.6235 0.3485 0.0000
Pr4 0.8765 0.8485 0.0000
Mn1 0.1213 0.4194 0.0000
Mn2 0.3787 0.9194 0.0000
Mn3 0.6213 0.0806 0.0000
Mn4 0.8787 0.5806 0.0000
B1 0.0214 0.6866 0.5000
B2 0.1104 0.5448 0.5000
B3 0.1443 0.9666 0.5000
B4 0.2244 0.8198 0.5000
B5 0.2756 0.3198 0.5000
B6 0.3557 0.4666 0.5000
B7 0.3896 0.0448 0.5000
B8 0.4786 0.1866 0.5000
B9 0.5214 0.8134 0.5000
B10 0.6104 0.9552 0.5000
B11 0.6443 0.5334 0.5000
B12 0.7244 0.6802 0.5000
B13 0.7756 0.1802 0.5000
B14 0.8557 0.0334 0.5000
B15 0.8896 0.4552 0.5000
B16 0.9786 0.3134 0.5000

---

[6]
Structure and simulated powder diffractogram of Y4Ni (a GGA-PBE-relaxed structure; Cu Kα X-rays).
Kinematic intensities with the Lorentz-polarization factor, no thermal factor.

Most intense lines, 2θ from 5° to 70°, in order of rising 2θ:
- 2θ 23.5, rel. 11
- 2θ 28.9, rel. 100
- 2θ 33.5, rel. 32
- 2θ 36.6, rel. 16
- 2θ 43.9, rel. 15
- 2θ 48.1, rel. 45
- 2θ 57.0, rel. 35
- 2θ 59.8, rel. 6
- 2θ 61.9, rel. 5
- 2θ 67.1, rel. 5

Structure:
Cell: 7.5733 7.5733 7.5733 Å, 60.00 60.00 60.00°
Fractional coordinates of all 10 atoms:
Y1 0.2146 0.7618 0.7618
Y2 0.2382 0.2382 0.2382
Y3 0.2382 0.2382 0.7854
Y4 0.2382 0.7854 0.2382
Y5 0.7618 0.2146 0.7618
Y6 0.7618 0.7618 0.2146
Y7 0.7618 0.7618 0.7618
Y8 0.7854 0.2382 0.2382
Ni1 0.3750 0.3750 0.3750
Ni2 0.6250 0.6250 0.6250

---

[7]
Structure and simulated powder diffractogram of LaY3 (a GGA-PBE-relaxed structure; Cu Kα X-rays).
Kinematic intensities with the Lorentz-polarization factor, no thermal factor.

Most intense lines, 2θ from 5° to 70°, in order of rising 2θ:
- 2θ 19.3, rel. 4
- 2θ 30.1, rel. 100
- 2θ 34.8, rel. 34
- 2θ 35.1, rel. 16
- 2θ 40.0, rel. 1
- 2θ 50.0, rel. 12
- 2θ 50.2, rel. 23
- 2θ 59.4, rel. 28
- 2θ 59.8, rel. 14
- 2θ 62.5, rel. 12

Structure:
Cell: 5.1609 5.1609 10.2384 Å, 90.00 90.00 90.00°
Fractional coordinates of all 8 atoms:
La1 0.0000 0.0000 0.0000
La2 0.5000 0.5000 0.5000
Y1 0.0000 0.0000 0.5000
Y2 0.0000 0.5000 0.2500
Y3 0.0000 0.5000 0.7500
Y4 0.5000 0.0000 0.2500
Y5 0.5000 0.0000 0.7500
Y6 0.5000 0.5000 0.0000